Entry 1:
This entry pairs a crystal structure of LaMgAu2O with its theoretical powder XRD pattern. Radiation: λ = 1.5418 Å (Cu Kα). Structure: a structure optimized by DFT (PBE).
Neutral-atom scattering factors, no anomalous dispersion.

Atomic structure:
Cell lengths 3.127, 3.127, 18.747 Å; angles 90.00, 90.00, 90.00 degrees
Space group I-4m2 (No. 119)
One atom of each set of equivalent atoms:
La1 0.000 0.000 0.000 x2
Mg1 0.000 0.500 0.250 x2
Au1 0.000 0.000 0.382 x4
O1 0.000 0.500 0.750 x2

Main lines, in order of rising 2θ (5 to 70 degrees two-theta):
Position (°2θ)	intensity	hkl
9.44	44	0 0 2
18.94	25	0 0 4
28.94	21	1 0 1
32.00	98	1 0 3
37.45	100	1 0 5
38.41	32	0 0 8
40.80	43	1 1 0
45.34	23	1 1 4
57.28	30	1 1 8
68.78	22	2 1 3

---

Entry 2:
This entry pairs a crystal structure of La2PrMg3Pd2Au with its theoretical powder XRD pattern. Radiation: λ = 1.5418 Å (Cu Kα). Structure: a structure optimized by DFT (PBE).
Neutral-atom scattering factors, no anomalous dispersion.

Atomic structure:
Cell lengths 4.210, 13.428, 7.694 Å; angles 90.00, 90.00, 90.00 degrees
Space group Amm2 (No. 38)
One atom of each set of equivalent atoms:
La1 0.000 0.209 0.000 x4
Pr1 0.000 0.000 0.625 x2
Mg1 0.500 0.000 0.965 x2
Mg2 0.500 0.119 0.331 x4
Pd1 0.500 0.168 0.710 x4
Au1 0.000 0.000 0.209 x2

Main lines, in order of rising 2θ (5 to 70 degrees two-theta):
Position (°2θ)	intensity	hkl
22.99	34	0 3 1
24.99	27	1 2 0
26.71	29	0 2 2
31.44	61	1 0 2
34.16	50	1 4 0
34.28	100	1 2 2
40.54	27	0 3 3
41.62	30	1 5 1
42.96	29	2 0 0
64.53	23	1 8 2

---

Entry 3:
This entry pairs a crystal structure of La2PrMg2Si4Au2 with its theoretical powder XRD pattern. Radiation: λ = 1.5418 Å (Cu Kα). Structure: a structure optimized by DFT (PBE).
Neutral-atom scattering factors, no anomalous dispersion.

Atomic structure:
Cell lengths 4.320, 4.359, 26.247 Å; angles 90.00, 90.00, 90.00 degrees
Space group Immm (No. 71)
One atom of each set of equivalent atoms:
La1 0.000 0.000 0.140 x4
Pr1 0.000 0.500 0.000 x2
Mg1 0.000 0.500 0.250 x4
Si1 0.000 0.000 0.313 x4
Si2 0.000 0.500 0.455 x4
Au1 0.000 0.000 0.409 x4

Main lines, in order of rising 2θ (5 to 70 degrees two-theta):
Position (°2θ)	intensity	hkl
6.74	66	0 0 2
13.49	30	0 0 4
29.10	27	1 1 0
31.60	50	1 0 7
32.21	100	1 1 4
41.43	22	0 2 0
41.82	22	2 0 0
43.25	46	0 1 11
53.02	23	1 2 7
61.71	24	2 1 11

---

Entry 4:
This entry pairs a crystal structure of LaMgTe3Au with its theoretical powder XRD pattern. Radiation: λ = 1.5418 Å (Cu Kα). Structure: a structure optimized by DFT (PBE).
Neutral-atom scattering factors, no anomalous dispersion.

Atomic structure:
Cell lengths 12.737, 4.405, 13.123 Å; angles 90.00, 90.00, 90.00 degrees
Space group Pnma (No. 62)
One atom of each set of equivalent atoms:
La1 0.036 0.250 0.190 x4
Mg1 0.246 0.250 0.380 x4
Te1 0.066 0.750 0.373 x4
Te2 0.107 0.250 0.940 x4
Te3 0.179 0.750 0.657 x4
Au1 0.228 0.750 0.236 x4

Main lines, in order of rising 2θ (5 to 70 degrees two-theta):
Position (°2θ)	intensity	hkl
13.49	98	0 0 2
22.40	42	1 1 1
28.08	42	1 0 4
30.01	54	3 1 1
31.22	38	4 0 2
32.08	100	2 1 3
32.31	61	3 1 2
34.80	49	4 1 0
39.99	33	0 1 5
40.98	57	0 2 0

---

Entry 5:
This entry pairs a crystal structure of LaNdPb2Au4 with its theoretical powder XRD pattern. Radiation: λ = 1.5418 Å (Cu Kα). Structure: a structure optimized by DFT (PBE).
Neutral-atom scattering factors, no anomalous dispersion.

Atomic structure:
Cell lengths 4.9003, 4.9003, 9.5752 Å; angles 90.00, 90.00, 120.00 degrees
Space group P-6m2 (No. 187)
One atom of each set of equivalent atoms:
La1 0.0000 0.0000 0.0000 x1
Nd1 0.3333 0.6667 0.5000 x1
Pb1 0.6667 0.3333 0.2519 x2
Au1 0.0000 0.0000 0.3523 x2
Au2 0.3333 0.6667 0.1505 x2

Main lines, in order of rising 2θ (5 to 70 degrees two-theta):
Position (°2θ)	intensity	hkl
18.53	10	0 0 2
28.10	34	1 0 2
35.18	81	1 0 3
36.68	100	1 1 0
41.40	9	1 1 2
43.40	20	1 0 4
51.73	27	2 0 3
62.14	15	1 0 6
65.08	28	2 1 3
66.05	18	3 0 0

---

Entry 6:
This entry pairs a crystal structure of LaNd2Zn2Si4Au2 with its theoretical powder XRD pattern. Radiation: λ = 1.5418 Å (Cu Kα). Structure: a structure optimized by DFT (PBE).
Neutral-atom scattering factors, no anomalous dispersion.

Atomic structure:
Cell lengths 4.248, 4.305, 24.824 Å; angles 90.00, 90.00, 90.00 degrees
Space group Immm (No. 71)
One atom of each set of equivalent atoms:
La1 0.000 0.000 0.000 x2
Nd1 0.000 0.500 0.354 x4
Zn1 0.000 0.500 0.095 x4
Si1 0.000 0.000 0.452 x4
Si2 0.000 0.500 0.191 x4
Au1 0.000 0.000 0.250 x4

Main lines, in order of rising 2θ (5 to 70 degrees two-theta):
Position (°2θ)	intensity	hkl
7.12	67	0 0 2
23.54	11	1 0 3
28.77	14	0 0 8
32.72	19	0 1 7
32.95	100	1 1 4
36.82	13	1 1 6
41.71	10	1 1 8
41.98	18	0 2 0
42.57	19	2 0 0
61.32	12	2 2 0

---

Entry 7:
This entry pairs a crystal structure of La2NdZn2Si4Au2 with its theoretical powder XRD pattern. Radiation: λ = 1.5418 Å (Cu Kα). Structure: a structure optimized by DFT (PBE).
Neutral-atom scattering factors, no anomalous dispersion.

Atomic structure:
Cell lengths 4.256, 4.307, 25.167 Å; angles 90.00, 90.00, 90.00 degrees
Space group Immm (No. 71)
One atom of each set of equivalent atoms:
La1 0.000 0.000 0.148 x4
Nd1 0.000 0.500 0.000 x2
Zn1 0.000 0.500 0.250 x4
Si1 0.000 0.000 0.306 x4
Si2 0.000 0.500 0.453 x4
Au1 0.000 0.000 0.405 x4

Main lines, in order of rising 2θ (5 to 70 degrees two-theta):
Position (°2θ)	intensity	hkl
20.93	16	0 1 1
27.44	25	1 0 5
32.60	34	1 0 7
32.83	100	1 1 4
38.38	16	0 1 9
41.96	22	0 2 0
42.48	21	2 0 0
44.86	20	0 1 11
54.12	16	1 2 7
63.49	14	2 1 11

---

Entry 8:
This entry pairs a crystal structure of LaNd2Zn2Si4Au2 with its theoretical powder XRD pattern. Radiation: λ = 1.5418 Å (Cu Kα). Structure: a structure optimized by DFT (PBE).
Neutral-atom scattering factors, no anomalous dispersion.

Atomic structure:
Cell lengths 4.225, 4.291, 25.214 Å; angles 90.00, 90.00, 90.00 degrees
Space group Immm (No. 71)
One atom of each set of equivalent atoms:
La1 0.000 0.000 0.000 x2
Nd1 0.000 0.500 0.148 x4
Zn1 0.000 0.000 0.250 x4
Si1 0.000 0.000 0.452 x4
Si2 0.000 0.500 0.306 x4
Au1 0.000 0.500 0.404 x4

Main lines, in order of rising 2θ (5 to 70 degrees two-theta):
Position (°2θ)	intensity	hkl
27.54	23	1 0 5
29.67	15	1 1 0
32.67	32	1 0 7
32.97	100	1 1 4
38.37	17	0 1 9
42.12	21	0 2 0
42.81	20	2 0 0
44.83	20	0 1 11
54.30	15	1 2 7
63.71	14	2 1 11

---

Entry 9:
This entry pairs a crystal structure of La2PrSi4Ni2Au2 with its theoretical powder XRD pattern. Radiation: λ = 1.5418 Å (Cu Kα). Structure: a structure optimized by DFT (PBE).
Neutral-atom scattering factors, no anomalous dispersion.

Atomic structure:
Cell lengths 4.177, 4.317, 24.473 Å; angles 90.00, 90.00, 90.00 degrees
Space group Immm (No. 71)
One atom of each set of equivalent atoms:
La1 0.000 0.000 0.143 x4
Pr1 0.000 0.500 0.500 x2
Si1 0.000 0.000 0.314 x4
Si2 0.000 0.500 0.050 x4
Ni1 0.000 0.000 0.407 x4
Au1 0.000 0.500 0.251 x4

Main lines, in order of rising 2θ (5 to 70 degrees two-theta):
Position (°2θ)	intensity	hkl
7.22	59	0 0 2
14.48	10	0 0 4
23.94	10	1 0 3
29.19	16	0 0 8
32.97	17	0 1 7
33.24	100	1 1 4
37.19	12	1 1 6
41.85	18	0 2 0
43.33	17	2 0 0
61.81	12	2 2 0

---

Entry 10:
This entry pairs a crystal structure of LaAuSeO with its theoretical powder XRD pattern. Radiation: λ = 1.5418 Å (Cu Kα). Structure: a structure optimized by DFT (PBE).
Neutral-atom scattering factors, no anomalous dispersion.

Atomic structure:
Cell lengths 5.877, 9.560, 5.890 Å; angles 90.00, 90.00, 90.00 degrees
Space group Pcca (No. 54)
One atom of each set of equivalent atoms:
La1 0.000 0.125 0.250 x4
Au1 0.250 0.500 0.247 x4
Se1 0.000 0.287 0.750 x4
O1 0.250 0.000 0.003 x4

Main lines, in order of rising 2θ (5 to 70 degrees two-theta):
Position (°2θ)	intensity	hkl
9.25	86	0 1 0
18.56	41	0 2 0
28.44	89	1 2 1
30.35	100	0 0 2
31.85	96	2 1 0
35.49	41	1 3 1
35.87	77	2 2 0
41.78	47	0 3 2
44.58	76	2 1 2
47.68	48	2 2 2

---

Entry 11:
This entry pairs a crystal structure of LaAuSeO with its theoretical powder XRD pattern. Radiation: λ = 1.5418 Å (Cu Kα). Structure: a structure optimized by DFT (PBE).
Neutral-atom scattering factors, no anomalous dispersion.

Atomic structure:
Cell lengths 5.888, 9.553, 5.905 Å; angles 90.00, 90.00, 90.00 degrees
Space group Pcca (No. 54)
One atom of each set of equivalent atoms:
La1 0.000 0.125 0.250 x4
Au1 0.250 0.500 0.239 x4
Se1 0.000 0.287 0.750 x4
O1 0.250 0.000 0.000 x4

Main lines, in order of rising 2θ (5 to 70 degrees two-theta):
Position (°2θ)	intensity	hkl
9.26	86	0 1 0
18.58	42	0 2 0
28.41	90	1 2 1
30.27	100	0 0 2
31.79	96	2 1 0
35.47	42	1 3 1
35.82	77	2 2 0
41.73	46	0 3 2
44.48	76	2 1 2
47.59	70	0 5 0

---

Entry 12:
This entry pairs a crystal structure of LaAuSeO with its theoretical powder XRD pattern. Radiation: λ = 1.5418 Å (Cu Kα). Structure: a structure optimized by DFT (PBE).
Neutral-atom scattering factors, no anomalous dispersion.

Atomic structure:
Cell lengths 5.957, 5.955, 11.586 Å; angles 90.00, 92.54, 90.00 degrees
Space group P2_1 (No. 4)
One atom of each set of equivalent atoms:
La1 0.008 0.000 0.100 x2
La2 0.492 0.000 0.899 x2
Au1 0.003 0.025 0.722 x2
Au2 0.312 0.278 0.504 x2
Se1 0.291 0.234 0.295 x2
Se2 0.298 0.319 0.712 x2
O1 0.249 0.249 0.001 x2
O2 0.251 0.749 0.000 x2

Main lines, in order of rising 2θ (5 to 70 degrees two-theta):
Position (°2θ)	intensity	hkl
21.10	100	1 1 0
22.70	46	1 1 1
25.78	69	1 1 -2
26.57	58	1 1 2
30.94	77	1 1 -3
31.01	51	0 2 1
31.95	67	1 1 3
33.66	42	1 2 0
38.90	54	0 0 5
42.97	82	2 2 0